Starting from a crystal structure in Alexandria, relaxed with GGA-PBE, the powder X-ray diffraction pattern of BPt2I8 was computed for Cu Ka.

```
data_BPt2I8
_cell_length_a 7.556
_cell_length_b 7.717
_cell_length_c 10.475
_cell_angle_alpha 72.35
_cell_angle_beta 69.18
_cell_angle_gamma 84.98
_symmetry_space_group_name_H-M 'P 1'
_symmetry_Int_Tables_number 1
loop_
_symmetry_equiv_pos_as_xyz
'x,y,z'
loop_
_atom_site_label
_atom_site_type_symbol
_atom_site_fract_x
_atom_site_fract_y
_atom_site_fract_z
_atom_site_occupancy
B1 B 0.000 0.000 0.000 1
Pt1 Pt 0.207 0.428 0.355 1
Pt2 Pt 0.793 0.572 0.645 1
I1 I 0.150 0.662 0.501 1
I2 I 0.219 0.834 0.965 1
I3 I 0.242 0.185 0.221 1
I4 I 0.441 0.463 0.783 1
I5 I 0.559 0.537 0.217 1
I6 I 0.758 0.815 0.779 1
I7 I 0.781 0.166 0.035 1
I8 I 0.850 0.338 0.499 1
```

Most intense lines, 2θ = 10–90°, in order of rising 2θ:
d [Å], Rel. int.
7.352, 76
6.903, 100
5.104, 92
4.729, 75
3.550, 98
3.530, 29
3.417, 40
2.660, 39
2.493, 38
2.436, 28